Starting from a crystal structure in Alexandria, relaxed with GGA-PBE, the XRD peak list of Sm8Sb2Au was simulated for Cu Kα, 1.54184 Å.

Structure:
abc: 9.928 9.928 7.298
angles: 99.11 99.11 28.46
Atoms (fractional coordinates):
1 Sm 0.011 0.011 0.269
2 Sm 0.216 0.216 0.847
3 Sm 0.344 0.344 0.474
4 Sm 0.405 0.405 0.002
5 Sm 0.595 0.595 0.998
6 Sm 0.656 0.656 0.526
7 Sm 0.784 0.784 0.153
8 Sm 0.989 0.989 0.731
9 Sb 0.181 0.181 0.268
10 Sb 0.819 0.819 0.732
11 Au 0.500 0.500 0.500

The 10 most intense peaks (2θ = 10–80°), by intensity:
2.922 Å, 2θ = 30.60°, I = 100
2.441 Å, 2θ = 36.83°, I = 41
2.997 Å, 2θ = 29.81°, I = 33
2.649 Å, 2θ = 33.84°, I = 27
1.822 Å, 2θ = 50.06°, I = 21
1.577 Å, 2θ = 58.51°, I = 19
3.089 Å, 2θ = 28.90°, I = 19
2.354 Å, 2θ = 38.23°, I = 18
2.809 Å, 2θ = 31.85°, I = 17
2.737 Å, 2θ = 32.72°, I = 16

Starting from a crystal structure in Alexandria, relaxed with GGA-PBE, the XRD peak list of Sm4SbAu was simulated for Cu Kα, 1.54184 Å.

Structure:
abc: 6.220 7.564 8.784
angles: 102.97 110.71 90.05
Atoms (fractional coordinates):
1 Sm 0.040 0.053 0.348
2 Sm 0.191 0.447 0.652
3 Sm 0.230 0.376 0.179
4 Sm 0.450 0.876 0.179
5 Sm 0.550 0.124 0.821
6 Sm 0.770 0.624 0.821
7 Sm 0.809 0.553 0.348
8 Sm 0.960 0.947 0.652
9 Sb 0.374 0.750 0.500
10 Sb 0.626 0.250 0.500
11 Au 0.000 0.000 0.000
12 Au 0.500 0.500 0.000

The 10 most intense peaks (2θ = 10–80°), by intensity:
2.779 Å, 2θ = 32.21°, I = 100
2.986 Å, 2θ = 29.93°, I = 64
2.329 Å, 2θ = 38.67°, I = 58
2.476 Å, 2θ = 36.29°, I = 46
2.452 Å, 2θ = 36.66°, I = 43
4.755 Å, 2θ = 18.66°, I = 36
2.862 Å, 2θ = 31.26°, I = 31
1.829 Å, 2θ = 49.85°, I = 28
3.850 Å, 2θ = 23.10°, I = 28
2.192 Å, 2θ = 41.17°, I = 24

Starting from a crystal structure in Alexandria, relaxed with GGA-PBE, the XRD peak list of Sn4SbAu5 was simulated for Cu Kα, 1.54184 Å.

Structure:
abc: 17.148 17.148 17.148
angles: 13.46 13.46 13.46
Atoms (fractional coordinates):
1 Sn 0.101 0.101 0.101
2 Sn 0.300 0.300 0.300
3 Sn 0.700 0.700 0.700
4 Sn 0.899 0.899 0.899
5 Sb 0.500 0.500 0.500
6 Au 0.000 0.000 0.000
7 Au 0.200 0.200 0.200
8 Au 0.400 0.400 0.400
9 Au 0.600 0.600 0.600
10 Au 0.800 0.800 0.800

The 10 most intense peaks (2θ = 10–80°), by intensity:
2.875 Å, 2θ = 31.11°, I = 100
2.056 Å, 2θ = 44.03°, I = 39
2.010 Å, 2θ = 45.10°, I = 37
1.647 Å, 2θ = 55.80°, I = 20
1.298 Å, 2θ = 72.90°, I = 18
1.274 Å, 2θ = 74.46°, I = 17
1.438 Å, 2θ = 64.86°, I = 13
3.295 Å, 2θ = 27.06°, I = 8
1.699 Å, 2θ = 53.97°, I = 7
3.398 Å, 2θ = 26.23°, I = 3

Starting from a crystal structure in Alexandria, relaxed with GGA-PBE, the XRD peak list of Sn2SbAu2 was simulated for Cu Kα, 1.54184 Å.

Structure:
abc: 7.301 7.301 8.500
angles: 90.00 90.00 144.56
Atoms (fractional coordinates):
1 Sn 0.107 0.893 0.500
2 Sn 0.366 0.634 0.328
3 Sn 0.634 0.366 0.828
4 Sn 0.893 0.107 0.000
5 Sb 0.135 0.865 0.149
6 Sb 0.865 0.135 0.649
7 Au 0.246 0.754 0.746
8 Au 0.495 0.505 0.586
9 Au 0.505 0.495 0.086
10 Au 0.754 0.246 0.246

The 10 most intense peaks (2θ = 10–80°), by intensity:
3.626 Å, 2θ = 24.55°, I = 100
3.002 Å, 2θ = 29.76°, I = 100
2.561 Å, 2θ = 35.04°, I = 90
2.272 Å, 2θ = 39.67°, I = 67
2.222 Å, 2θ = 40.59°, I = 59
2.062 Å, 2θ = 43.91°, I = 45
2.356 Å, 2θ = 38.20°, I = 43
3.209 Å, 2θ = 27.80°, I = 42
2.624 Å, 2θ = 34.17°, I = 42
4.245 Å, 2θ = 20.92°, I = 36